Simulated XRD peak list of Ce5Pu2Pb2 for a wavelength of 1.5418 Å, from the GGA-PBE geometry in Alexandria.
Intensities are scaled so that the largest is 100.

Most intense lines, 10 to 90 degrees two-theta, in order of rising 2θ:
2θ (°), Rel. int.
31.82, 100
34.72, 20
35.21, 87
44.02, 20
50.65, 31
61.07, 31

Crystal structure
Cell: 5.0974 5.0974 8.9920 Å, 90.00 90.00 90.00°
Space group P4/mmm (No. 123)
Inequivalent atoms, fractional coordinates:
Ce1 0.0000 0.0000 0.0000 (multiplicity 1)
Ce2 0.0000 0.5000 0.2655 (multiplicity 4)
Pu1 0.0000 0.0000 0.3663 (multiplicity 2)
Pb1 0.5000 0.5000 0.0000 (multiplicity 1)
Pb2 0.5000 0.5000 0.5000 (multiplicity 1)